1.
The following is a simulated XRD peak list of CaPd2C. It was derived from a crystal structure in Alexandria, relaxed with GGA-PBE, using Cu Kα (weighted mean of Kα1 and Kα2).
Lines closer than 0.1° are merged.

Atomic structure:
a = 5.4786 Å, b = 6.3383 Å, c = 7.8483 Å
α = 90.00°, β = 90.00°, γ = 90.00°
Space group Ima2 (No. 46)
Inequivalent atoms, fractional coordinates:
1 Ca 0.2500 0.1494 0.0000 [4 per cell]
2 Pd 0.0000 0.0000 0.3386 [4 per cell]
3 Pd 0.2500 0.6784 0.1673 [4 per cell]
4 C 0.2500 0.7350 0.9152 [4 per cell]

Principal peaks in the range 5 to 70 degrees two-theta, most intense first:
37.56 deg, I 100, hkl 2 1 1
31.39 deg, I 92, hkl 1 1 2
17.99 deg, I 91, hkl 0 1 1
37.18 deg, I 80, hkl 0 1 3
34.64 deg, I 74, hkl 1 2 1
40.15 deg, I 69, hkl 2 0 2
43.68 deg, I 61, hkl 2 2 0
36.44 deg, I 58, hkl 0 2 2
21.44 deg, I 58, hkl 1 1 0
66.32 deg, I 55, hkl 2 3 3

=====

2.
The following is a simulated XRD peak list of CaPdC. It was derived from a crystal structure in Alexandria, relaxed with GGA-PBE, using Cu Kα (weighted mean of Kα1 and Kα2).
Lines closer than 0.1° are merged.

Atomic structure:
a = 7.7100 Å, b = 7.5546 Å, c = 4.7840 Å
α = 90.00°, β = 125.72°, γ = 90.00°
Space group C2/m (No. 12)
Inequivalent atoms, fractional coordinates:
1 Ca 0.2500 0.2500 0.0000 [4 per cell]
2 Pd 0.1501 0.0000 0.3566 [4 per cell]
3 C 0.0830 0.5000 0.1553 [4 per cell]

Principal peaks in the range 5 to 70 degrees two-theta, most intense first:
33.83 deg, I 100, hkl 2 2 -1
18.41 deg, I 53, hkl 1 1 0
33.08 deg, I 48, hkl 0 2 1
35.61 deg, I 43, hkl 1 1 1
23.55 deg, I 32, hkl 0 2 0
23.93 deg, I 26, hkl 2 0 -1
37.64 deg, I 25, hkl 2 0 -2
41.60 deg, I 24, hkl 1 1 -2
37.00 deg, I 22, hkl 3 1 -1
45.08 deg, I 20, hkl 3 1 0

=====

3.
The following is a simulated XRD peak list of CaPdC. It was derived from a crystal structure in Alexandria, relaxed with GGA-PBE, using Cu Kα (weighted mean of Kα1 and Kα2).
Lines closer than 0.1° are merged.

Atomic structure:
a = 3.8249 Å, b = 4.1013 Å, c = 7.4948 Å
α = 74.26°, β = 75.94°, γ = 89.48°
Space group P-1 (No. 2)
Inequivalent atoms, fractional coordinates:
1 Ca 0.1262 0.3353 0.2628 [2 per cell]
2 Pd 0.3155 0.1031 0.8573 [2 per cell]
3 C 0.4608 0.3731 0.5756 [2 per cell]

Principal peaks in the range 5 to 70 degrees two-theta, most intense first:
12.67 deg, I 100, hkl 0 0 1
34.58 deg, I 96, hkl 1 1 2
22.61 deg, I 95, hkl 0 1 1
34.22 deg, I 56, hkl 1 1 0
34.78 deg, I 56, hkl 1 -1 1
39.65 deg, I 34, hkl 1 0 -2
47.55 deg, I 32, hkl 2 0 1
41.59 deg, I 31, hkl 1 1 3
40.27 deg, I 31, hkl 1 0 3
44.17 deg, I 29, hkl 0 2 1

=====

4.
The following is a simulated XRD peak list of CaPdC. It was derived from a crystal structure in Alexandria, relaxed with GGA-PBE, using Cu Kα (weighted mean of Kα1 and Kα2).
Lines closer than 0.1° are merged.

Atomic structure:
a = 3.7138 Å, b = 3.7111 Å, c = 8.1195 Å
α = 90.00°, β = 90.98°, γ = 90.00°
Space group P2/m (No. 10)
Inequivalent atoms, fractional coordinates:
1 Ca 0.0000 0.0000 0.0000 [1 per cell]
2 Ca 0.0000 0.0000 0.5000 [1 per cell]
3 Pd 0.4951 0.5000 0.3256 [2 per cell]
4 C 0.4975 0.5000 0.0786 [2 per cell]

Principal peaks in the range 5 to 70 degrees two-theta, most intense first:
34.16 deg, I 100, hkl 1 1 0
23.97 deg, I 58, hkl 1 0 0
32.70 deg, I 43, hkl 0 1 2
10.90 deg, I 42, hkl 0 0 1
49.08 deg, I 34, hkl 0 2 0
41.29 deg, I 26, hkl 0 1 3
33.10 deg, I 24, hkl 0 0 3
32.97 deg, I 22, hkl 1 0 2
32.40 deg, I 21, hkl 1 0 -2
47.99 deg, I 17, hkl 1 1 -3

=====

5.
The following is a simulated XRD peak list of Ca2ReRuC. It was derived from a crystal structure in Alexandria, relaxed with GGA-PBE, using Cu Kα (weighted mean of Kα1 and Kα2).
Lines closer than 0.1° are merged.

Atomic structure:
a = 5.6387 Å, b = 5.6387 Å, c = 3.8562 Å
α = 90.00°, β = 90.00°, γ = 90.00°
Space group P4/mmm (No. 123)
Inequivalent atoms, fractional coordinates:
1 Ca 0.0000 0.5000 0.0000 [2 per cell]
2 Re 0.0000 0.0000 0.0000 [1 per cell]
3 Ru 0.5000 0.5000 0.5000 [1 per cell]
4 C 0.0000 0.0000 0.5000 [1 per cell]

Principal peaks in the range 5 to 70 degrees two-theta, most intense first:
28.03 deg, I 100, hkl 1 0 1
31.74 deg, I 70, hkl 2 0 0
42.85 deg, I 65, hkl 2 1 1
22.30 deg, I 52, hkl 1 1 0
45.50 deg, I 25, hkl 2 2 0
57.95 deg, I 24, hkl 2 0 2
15.72 deg, I 21, hkl 1 0 0
64.27 deg, I 20, hkl 3 2 1
54.30 deg, I 16, hkl 3 0 1
67.59 deg, I 15, hkl 2 2 2

=====

6.
The following is a simulated XRD peak list of CaRu2C2. It was derived from a crystal structure in Alexandria, relaxed with GGA-PBE, using Cu Kα (weighted mean of Kα1 and Kα2).
Lines closer than 0.1° are merged.

Atomic structure:
a = 6.1682 Å, b = 8.9964 Å, c = 9.8998 Å
α = 90.00°, β = 90.00°, γ = 90.00°
Space group Fddd (No. 70, origin choice 2)
Inequivalent atoms, fractional coordinates:
1 Ca 0.1250 0.1250 0.1250 [8 per cell]
2 Ru 0.1250 0.1250 0.4901 [16 per cell]
3 C 0.1250 0.3056 0.6250 [16 per cell]

Principal peaks in the range 5 to 70 degrees two-theta, most intense first:
35.28 deg, I 100, hkl 2 2 0
32.34 deg, I 95, hkl 1 1 3
19.62 deg, I 88, hkl 1 1 1
43.33 deg, I 54, hkl 1 3 3
40.09 deg, I 38, hkl 0 4 0
51.52 deg, I 35, hkl 2 2 4
53.49 deg, I 22, hkl 3 1 3
61.48 deg, I 18, hkl 3 3 3
69.74 deg, I 16, hkl 2 6 0
36.30 deg, I 16, hkl 0 0 4

=====

7.
The following is a simulated XRD peak list of CaCS. It was derived from a crystal structure in Alexandria, relaxed with GGA-PBE, using Cu Kα (weighted mean of Kα1 and Kα2).
Lines closer than 0.1° are merged.

Atomic structure:
a = 6.9135 Å, b = 4.1102 Å, c = 8.9726 Å
α = 90.00°, β = 95.00°, γ = 90.00°
Space group Cm (No. 8)
Inequivalent atoms, fractional coordinates:
1 Ca 0.0000 0.0000 0.0000 [2 per cell]
2 Ca 0.0530 0.0000 0.3883 [2 per cell]
3 C 0.1891 0.5000 0.6423 [2 per cell]
4 C 0.2324 0.5000 0.5094 [2 per cell]
5 S 0.1366 0.5000 0.8202 [2 per cell]
6 S 0.3620 0.0000 0.1768 [2 per cell]

Principal peaks in the range 5 to 70 degrees two-theta, most intense first:
31.59 deg, I 100, hkl 1 1 -2
27.58 deg, I 90, hkl 1 1 1
45.24 deg, I 73, hkl 3 1 0
38.67 deg, I 73, hkl 1 1 -3
26.74 deg, I 69, hkl 1 1 -1
34.23 deg, I 61, hkl 2 0 2
9.90 deg, I 58, hkl 0 0 1
33.03 deg, I 56, hkl 1 1 2
44.06 deg, I 55, hkl 0 2 0
40.48 deg, I 54, hkl 1 1 3

=====

8.
The following is a simulated XRD peak list of CaCS. It was derived from a crystal structure in Alexandria, relaxed with GGA-PBE, using Cu Kα (weighted mean of Kα1 and Kα2).
Lines closer than 0.1° are merged.

Atomic structure:
a = 5.6851 Å, b = 5.5255 Å, c = 8.0469 Å
α = 90.00°, β = 93.26°, γ = 90.00°
Space group Cm (No. 8)
Inequivalent atoms, fractional coordinates:
1 Ca 0.0000 0.0000 0.0000 [2 per cell]
2 Ca 0.0222 0.5000 0.6467 [2 per cell]
3 C 0.0478 0.5000 0.9777 [2 per cell]
4 C 0.4609 0.0000 0.1199 [2 per cell]
5 S 0.0230 0.0000 0.6641 [2 per cell]
6 S 0.3107 0.0000 0.2903 [2 per cell]

Principal peaks in the range 5 to 70 degrees two-theta, most intense first:
32.40 deg, I 100, hkl 0 2 0
24.67 deg, I 50, hkl 1 1 -1
33.46 deg, I 49, hkl 0 0 3
47.27 deg, I 34, hkl 0 2 3
31.52 deg, I 33, hkl 2 0 0
22.13 deg, I 29, hkl 0 0 2
11.01 deg, I 26, hkl 0 0 1
34.10 deg, I 25, hkl 2 0 1
45.84 deg, I 21, hkl 2 2 0
47.75 deg, I 17, hkl 2 2 1

=====

9.
The following is a simulated XRD peak list of CaSi3C. It was derived from a crystal structure in Alexandria, relaxed with GGA-PBE, using Cu Kα (weighted mean of Kα1 and Kα2).
Lines closer than 0.1° are merged.

Atomic structure:
a = 4.2879 Å, b = 4.2879 Å, c = 4.2879 Å
α = 90.00°, β = 90.00°, γ = 90.00°
Space group Pm-3m (No. 221)
Inequivalent atoms, fractional coordinates:
1 Ca 0.0000 0.0000 0.0000 [1 per cell]
2 Si 0.0000 0.5000 0.5000 [3 per cell]
3 C 0.5000 0.5000 0.5000 [1 per cell]

Principal peaks in the range 5 to 70 degrees two-theta, most intense first:
36.29 deg, I 100, hkl 1 1 1
42.15 deg, I 66, hkl 2 0 0
61.13 deg, I 41, hkl 2 2 0
29.46 deg, I 12, hkl 1 1 0
52.26 deg, I 3, hkl 2 1 1
69.30 deg, I 1, hkl 3 1 0

=====

10.
The following is a simulated XRD peak list of CaSi2Tc2C. It was derived from a crystal structure in Alexandria, relaxed with GGA-PBE, using Cu Kα (weighted mean of Kα1 and Kα2).
Lines closer than 0.1° are merged.

Atomic structure:
a = 4.1455 Å, b = 4.1455 Å, c = 5.3315 Å
α = 90.00°, β = 90.00°, γ = 90.00°
Space group P4/mmm (No. 123)
Inequivalent atoms, fractional coordinates:
1 Ca 0.0000 0.0000 0.0000 [1 per cell]
2 Si 0.5000 0.5000 0.2253 [2 per cell]
3 Tc 0.0000 0.5000 0.5000 [2 per cell]
4 C 0.0000 0.0000 0.5000 [1 per cell]

Principal peaks in the range 5 to 70 degrees two-theta, most intense first:
34.93 deg, I 100, hkl 1 1 1
16.63 deg, I 72, hkl 0 0 1
43.67 deg, I 43, hkl 2 0 0
46.02 deg, I 32, hkl 1 1 2
33.62 deg, I 19, hkl 0 0 2
47.04 deg, I 19, hkl 2 0 1
56.22 deg, I 16, hkl 2 0 2
60.97 deg, I 14, hkl 1 1 3
63.47 deg, I 14, hkl 2 2 0
40.22 deg, I 13, hkl 1 0 2

=====

11.
The following is a simulated XRD peak list of CaSm3C8. It was derived from a crystal structure in Alexandria, relaxed with GGA-PBE, using Cu Kα (weighted mean of Kα1 and Kα2).
Lines closer than 0.1° are merged.

Atomic structure:
a = 10.0311 Å, b = 10.0614 Å, c = 7.8755 Å
α = 90.00°, β = 90.00°, γ = 90.00°
Space group Fmm2 (No. 42)
Inequivalent atoms, fractional coordinates:
1 Ca 0.0000 0.0000 0.0000 [4 per cell]
2 Sm 0.0000 0.0000 0.5004 [4 per cell]
3 Sm 0.2500 0.2500 0.2482 [8 per cell]
4 C 0.0000 0.1662 0.7627 [8 per cell]
5 C 0.0000 0.2390 0.3718 [8 per cell]
6 C 0.1660 0.0000 0.2389 [8 per cell]
7 C 0.2390 0.0000 0.6299 [8 per cell]

Principal peaks in the range 5 to 70 degrees two-theta, most intense first:
28.81 deg, I 100, hkl 2 0 2
46.54 deg, I 60, hkl 2 4 2
25.07 deg, I 54, hkl 2 2 0
53.19 deg, I 20, hkl 2 2 4
35.70 deg, I 18, hkl 0 4 0
35.81 deg, I 18, hkl 4 0 0
16.81 deg, I 17, hkl 1 1 1
59.67 deg, I 12, hkl 0 4 4
51.46 deg, I 11, hkl 4 4 0
30.34 deg, I 9, hkl 3 1 1

=====

Repeat the fifth record exactly.
The following is a simulated XRD peak list of Ca2ReRuC. It was derived from a crystal structure in Alexandria, relaxed with GGA-PBE, using Cu Kα (weighted mean of Kα1 and Kα2).
Lines closer than 0.1° are merged.

Atomic structure:
a = 5.6387 Å, b = 5.6387 Å, c = 3.8562 Å
α = 90.00°, β = 90.00°, γ = 90.00°
Space group P4/mmm (No. 123)
Inequivalent atoms, fractional coordinates:
1 Ca 0.0000 0.5000 0.0000 [2 per cell]
2 Re 0.0000 0.0000 0.0000 [1 per cell]
3 Ru 0.5000 0.5000 0.5000 [1 per cell]
4 C 0.0000 0.0000 0.5000 [1 per cell]

Principal peaks in the range 5 to 70 degrees two-theta, most intense first:
28.03 deg, I 100, hkl 1 0 1
31.74 deg, I 70, hkl 2 0 0
42.85 deg, I 65, hkl 2 1 1
22.30 deg, I 52, hkl 1 1 0
45.50 deg, I 25, hkl 2 2 0
57.95 deg, I 24, hkl 2 0 2
15.72 deg, I 21, hkl 1 0 0
64.27 deg, I 20, hkl 3 2 1
54.30 deg, I 16, hkl 3 0 1
67.59 deg, I 15, hkl 2 2 2

=====

Copy entry 3 word for word.
The following is a simulated XRD peak list of CaPdC. It was derived from a crystal structure in Alexandria, relaxed with GGA-PBE, using Cu Kα (weighted mean of Kα1 and Kα2).
Lines closer than 0.1° are merged.

Atomic structure:
a = 3.8249 Å, b = 4.1013 Å, c = 7.4948 Å
α = 74.26°, β = 75.94°, γ = 89.48°
Space group P-1 (No. 2)
Inequivalent atoms, fractional coordinates:
1 Ca 0.1262 0.3353 0.2628 [2 per cell]
2 Pd 0.3155 0.1031 0.8573 [2 per cell]
3 C 0.4608 0.3731 0.5756 [2 per cell]

Principal peaks in the range 5 to 70 degrees two-theta, most intense first:
12.67 deg, I 100, hkl 0 0 1
34.58 deg, I 96, hkl 1 1 2
22.61 deg, I 95, hkl 0 1 1
34.22 deg, I 56, hkl 1 1 0
34.78 deg, I 56, hkl 1 -1 1
39.65 deg, I 34, hkl 1 0 -2
47.55 deg, I 32, hkl 2 0 1
41.59 deg, I 31, hkl 1 1 3
40.27 deg, I 31, hkl 1 0 3
44.17 deg, I 29, hkl 0 2 1